Calculated powder XRD pattern of BaLa4Cu5O12 for Cu Kα, from a PBE-relaxed structure.
No peak broadening, texture or thermal motion is included.

The 10 most intense peaks (5° ≤ 2θ ≤ 70°), by intensity:
2theta	I (rel.)	(hkl)
32.5	100	1 2 1
57.9	22	5 0 1
46.6	15	2 4 0
58.1	12	3 1 2
40.1	11	3 1 1
22.8	11	1 2 0
46.8	10	0 0 2
68.1	9	2 4 2
37.2	4	2 3 0
52.5	4	4 3 0

Crystal structure
```
data_BaLa4Cu5O12
_cell_length_a 8.723
_cell_length_b 8.723
_cell_length_c 3.884
_cell_angle_alpha 90.00
_cell_angle_beta 90.00
_cell_angle_gamma 90.00
_space_group_name_H-M_alt 'P 4/m'
_space_group_IT_number 83
loop_
_space_group_symop_operation_xyz
'x,y,z'
'-x,-y,-z'
'-y,x,z'
'y,-x,-z'
'-x,-y,z'
'x,y,-z'
'y,-x,z'
'-y,x,-z'
loop_
_atom_site_label
_atom_site_fract_x
_atom_site_fract_y
_atom_site_fract_z
Ba1 0.000 0.000 0.000
La1 0.201 0.374 0.000
Cu1 0.094 0.666 0.500
Cu2 0.500 0.500 0.500
O1 0.090 0.652 0.000
O2 0.105 0.234 0.500
O3 0.287 0.555 0.500
```